No. 1
This entry pairs a crystal structure of Tm4AsAuS2 with its computed XRD peak list. Radiation: Cu Kα (weighted mean of Kα1 and Kα2). Structure: a structure optimized by DFT (PBE).
Lines closer than 0.1° are merged.

a b c (Å): 6.798 3.911 7.047
angles (deg): 90.00 108.40 90.00
Element x y z (fractional)
Tm (0.244, 0.000, 0.236)
Tm (0.248, 0.500, 0.758)
Tm (0.752, 0.500, 0.242)
Tm (0.756, 0.000, 0.764)
As (0.000, 0.000, 0.500)
Au (0.500, 0.500, 0.500)
S (0.000, 0.500, 0.000)
S (0.500, 0.000, 0.000)

Principal peaks in the range 15 to 90 degrees two-theta, sorted by position:
2theta  d (Å)  I (rel.)
26.7  3.345  13
27.8  3.209  10
31.8  2.810  100
44.8  2.024  13
45.0  2.013  25
46.3  1.961  24
46.4  1.956  12
54.9  1.672  9
57.4  1.604  12
66.5  1.406  9
76.8  1.242  11
85.1  1.140  9

No. 2
This entry pairs a crystal structure of U2As2AuS2 with its computed XRD peak list. Radiation: Cu Kα (weighted mean of Kα1 and Kα2). Structure: a structure optimized by DFT (PBE).
Lines closer than 0.1° are merged.

a b c (Å): 4.129 4.129 13.848
angles (deg): 90.00 90.00 120.00
Element x y z (fractional)
U (0.333, 0.667, 0.215)
U (0.667, 0.333, 0.785)
As (0.000, 0.000, 0.324)
As (0.000, 0.000, 0.676)
Au (0.000, 0.000, 0.500)
S (0.333, 0.667, 0.875)
S (0.667, 0.333, 0.125)

Principal peaks in the range 15 to 90 degrees two-theta, sorted by position:
2theta  d (Å)  I (rel.)
19.2  4.616  18
25.7  3.462  100
28.1  3.177  34
31.7  2.827  32
36.1  2.487  15
41.2  2.190  33
43.9  2.064  36
45.9  1.978  13
46.9  1.939  28
51.5  1.773  23
66.1  1.413  14
82.8  1.166  14

No. 3
This entry pairs a crystal structure of Sb4As2Au3 with its computed XRD peak list. Radiation: Cu Kα (weighted mean of Kα1 and Kα2). Structure: a structure optimized by DFT (PBE).
Lines closer than 0.1° are merged.

a b c (Å): 8.390 8.390 8.894
angles (deg): 116.92 116.92 86.88
Element x y z (fractional)
Sb (0.011, 0.807, 0.845)
Sb (0.193, 0.989, 0.655)
Sb (0.194, 0.444, 0.132)
Sb (0.444, 0.194, 0.632)
Sb (0.556, 0.806, 0.368)
Sb (0.806, 0.556, 0.868)
Sb (0.807, 0.011, 0.345)
Sb (0.989, 0.193, 0.155)
As (0.101, 0.495, 0.651)
As (0.495, 0.101, 0.151)
As (0.505, 0.899, 0.849)
As (0.899, 0.505, 0.349)
Au (0.021, 0.737, 0.264)
Au (0.263, 0.979, 0.236)
Au (0.438, 0.562, 0.750)
Au (0.562, 0.438, 0.250)
Au (0.737, 0.021, 0.764)
Au (0.979, 0.263, 0.736)

Principal peaks in the range 15 to 90 degrees two-theta, sorted by position:
2theta  d (Å)  I (rel.)
22.4  3.965  41
24.6  3.616  84
25.6  3.477  100
29.4  3.037  78
31.0  2.884  65
33.4  2.684  37
40.2  2.242  56
41.5  2.174  46
42.0  2.151  45
43.3  2.091  53
46.0  1.974  41
48.4  1.880  37